Calculated PXRD pattern of CeNd2Ag3 for Cu Kα (weighted mean of Kα1 and Kα2), from a cell relaxed with PBE.
Neutral-atom scattering factors, no anomalous dispersion.

Structural model:
Cell: 3.707 3.707 11.497 Å, 90.00 90.00 90.00°
Sites, in units of the cell vectors:
Ce 0.000 0.000 0.000
Nd 0.000 0.000 0.333
Nd 0.000 0.000 0.667
Ag 0.500 0.500 0.169
Ag 0.500 0.500 0.500
Ag 0.500 0.500 0.831

Most intense lines, 2θ from 10° to 90°, in order of falling intensity:
d_spacing, Rel. int.
2.664, 100
2.621, 48
1.521, 35
1.547, 18
1.853, 17
1.332, 11
1.916, 9
1.208, 8
1.176, 7
1.172, 7
1.310, 5
3.707, 2

Calculated PXRD pattern of Sm2SiNi6Ge for Cu Kα (weighted mean of Kα1 and Kα2), from a cell relaxed with PBE.
Neutral-atom scattering factors, no anomalous dispersion.

Structural model:
Cell: 6.208 6.208 6.208 Å, 120.11 119.93 89.96°
Sites, in units of the cell vectors:
Sm 0.250 0.250 0.000
Sm 0.750 0.750 0.000
Si 0.500 0.000 0.500
Ni 0.255 0.245 0.500
Ni 0.255 0.755 0.010
Ni 0.255 0.755 0.500
Ni 0.745 0.245 0.500
Ni 0.745 0.245 0.990
Ni 0.745 0.755 0.500
Ge 0.000 0.500 0.500

Most intense lines, 2θ from 10° to 90°, in order of falling intensity:
d_spacing, Rel. int.
2.534, 100
2.195, 90
3.104, 56
1.552, 48
1.324, 24
1.793, 16
1.322, 12
1.549, 10
1.268, 10
1.266, 9
1.097, 9
1.388, 9

Calculated PXRD pattern of TaMo7 for Cu Kα (weighted mean of Kα1 and Kα2), from a cell relaxed with PBE.
Neutral-atom scattering factors, no anomalous dispersion.

Structural model:
Cell: 3.181 4.500 8.994 Å, 90.00 90.00 90.00°
Sites, in units of the cell vectors:
Ta 0.000 0.000 0.000
Mo 0.000 0.000 0.500
Mo 0.000 0.500 0.252
Mo 0.000 0.500 0.748
Mo 0.500 0.000 0.255
Mo 0.500 0.000 0.745
Mo 0.500 0.500 0.000
Mo 0.500 0.500 0.500

Most intense lines, 2θ from 10° to 90°, in order of falling intensity:
d_spacing, Rel. int.
2.249, 100
1.299, 33
1.591, 16
1.125, 11
4.498, 2
2.495, 1
2.999, 1
4.024, 1
3.181, 1
2.597, 1
1.800, 1
1.479, 1

Calculated PXRD pattern of Nb2VW4 for Cu Kα (weighted mean of Kα1 and Kα2), from a cell relaxed with PBE.
Neutral-atom scattering factors, no anomalous dispersion.

Structural model:
Cell: 4.589 4.589 12.080 Å, 98.93 98.93 100.22°
Sites, in units of the cell vectors:
Nb 0.002 0.998 0.500
Nb 0.067 0.572 0.139
Nb 0.572 0.067 0.639
Nb 0.998 0.002 0.000
V 0.513 0.763 0.820
V 0.763 0.513 0.320
W 0.044 0.558 0.638
W 0.091 0.162 0.276
W 0.162 0.091 0.776
W 0.459 0.888 0.363
W 0.476 0.490 0.501
W 0.490 0.476 0.001
W 0.558 0.044 0.138
W 0.888 0.459 0.863

Most intense lines, 2θ from 10° to 90°, in order of falling intensity:
d_spacing, Rel. int.
2.351, 100
2.252, 91
2.217, 86
3.910, 40
1.345, 36
3.252, 30
1.409, 26
2.100, 22
2.171, 19
3.018, 18
1.760, 16
1.471, 15

Calculated PXRD pattern of TlAg4Cl5 for Cu Kα (weighted mean of Kα1 and Kα2), from a cell relaxed with PBE.
Neutral-atom scattering factors, no anomalous dispersion.

Structural model:
Cell: 4.347 4.347 36.966 Å, 90.00 90.00 120.00°
Sites, in units of the cell vectors:
Tl 0.000 0.000 0.000
Tl 0.000 0.000 0.223
Ag 0.000 0.000 0.431
Ag 0.000 0.000 0.616
Ag 0.000 0.000 0.800
Ag 0.333 0.667 0.115
Ag 0.333 0.667 0.339
Ag 0.333 0.667 0.523
Ag 0.333 0.667 0.708
Ag 0.333 0.667 0.892
Cl 0.000 0.000 0.135
Cl 0.000 0.000 0.359
Cl 0.000 0.000 0.544
Cl 0.000 0.000 0.728
Cl 0.000 0.000 0.911
Cl 0.333 0.667 0.044
Cl 0.333 0.667 0.267
Cl 0.333 0.667 0.452
Cl 0.333 0.667 0.636
Cl 0.333 0.667 0.819

Most intense lines, 2θ from 10° to 90°, in order of falling intensity:
d_spacing, Rel. int.
3.355, 100
3.764, 60
2.173, 51
1.824, 26
3.697, 21
1.874, 18
1.969, 17
2.638, 16
2.162, 16
3.486, 15
1.397, 13
1.882, 13

Calculated PXRD pattern of LiIn3Au4 for Cu Kα (weighted mean of Kα1 and Kα2), from a cell relaxed with PBE.
Neutral-atom scattering factors, no anomalous dispersion.

Structural model:
Cell: 13.771 4.553 5.325 Å, 90.00 102.28 90.00°
Sites, in units of the cell vectors:
Li 0.000 0.000 0.000
Li 0.500 0.500 0.000
In 0.000 0.500 0.500
In 0.225 0.000 0.249
In 0.275 0.500 0.751
In 0.500 0.000 0.500
In 0.725 0.500 0.249
In 0.775 0.000 0.751
Au 0.107 0.500 0.033
Au 0.136 0.000 0.678
Au 0.364 0.500 0.322
Au 0.393 0.000 0.967
Au 0.607 0.000 0.033
Au 0.636 0.500 0.678
Au 0.864 0.000 0.322
Au 0.893 0.500 0.967

Most intense lines, 2θ from 10° to 90°, in order of falling intensity:
d_spacing, Rel. int.
2.277, 100
2.556, 63
2.621, 35
2.163, 25
3.437, 23
3.195, 20
1.719, 20
1.314, 15
3.364, 14
1.917, 13
2.298, 12
1.466, 10

Calculated PXRD pattern of TbSmThTl for Cu Kα (weighted mean of Kα1 and Kα2), from a cell relaxed with PBE.
Neutral-atom scattering factors, no anomalous dispersion.

Structural model:
Cell: 7.801 7.801 7.801 Å, 90.00 90.00 90.00°
Sites, in units of the cell vectors:
Tb 0.000 0.000 0.000
Tb 0.000 0.500 0.500
Tb 0.500 0.000 0.500
Tb 0.500 0.500 0.000
Sm 0.000 0.000 0.500
Sm 0.000 0.500 0.000
Sm 0.500 0.000 0.000
Sm 0.500 0.500 0.500
Th 0.250 0.250 0.250
Th 0.250 0.750 0.750
Th 0.750 0.250 0.750
Th 0.750 0.750 0.250
Tl 0.250 0.250 0.750
Tl 0.250 0.750 0.250
Tl 0.750 0.250 0.250
Tl 0.750 0.750 0.750

Most intense lines, 2θ from 10° to 90°, in order of falling intensity:
d_spacing, Rel. int.
2.758, 100
1.592, 39
1.950, 19
1.233, 17
1.379, 12
1.126, 4
3.900, 3
1.744, 1
2.252, 1
1.300, 1

Calculated PXRD pattern of RbTeHS for Cu Kα (weighted mean of Kα1 and Kα2), from a cell relaxed with PBE.
Neutral-atom scattering factors, no anomalous dispersion.

Structural model:
Cell: 4.890 5.212 5.819 Å, 89.46 72.05 65.44°
Sites, in units of the cell vectors:
Rb 0.000 0.000 0.000
Te 0.861 0.525 0.521
H 0.066 0.732 0.484
S 0.328 0.052 0.414

Most intense lines, 2θ from 10° to 90°, in order of falling intensity:
d_spacing, Rel. int.
3.702, 100
3.836, 79
4.191, 74
3.016, 59
3.347, 49
2.742, 45
2.755, 42
2.674, 34
2.348, 33
4.146, 31
5.484, 25
2.581, 22